Simulated X-ray diffraction stick pattern
Compound: BaAc2MnO5
Radiation: Cu Kα
Structure: the GGA+U geometry in Alexandria
No peak broadening, texture or thermal motion is included.

Principal peaks in the range 10 to 80 degrees two-theta, by intensity:
(2 0 1), 29.12°, 3.067 Å, rel. 100.0
(2 1 1), 31.74°, 2.819 Å, rel. 86.7
(2 1 2), 41.48°, 2.177 Å, rel. 54.1
(0 0 1), 14.93°, 5.935 Å, rel. 42.0
(2 1 0), 27.85°, 3.204 Å, rel. 40.7
(0 0 2), 30.11°, 2.968 Å, rel. 40.6
(4 1 1), 55.07°, 1.668 Å, rel. 26.5
(3 1 0), 39.79°, 2.265 Å, rel. 23.8
(2 2 0), 35.44°, 2.533 Å, rel. 20.9
(3 3 1), 56.68°, 1.624 Å, rel. 20.1

Atomic structure:
```
BaAc2MnO5
1.0
7.164 0.000 0.000
0.000 7.164 0.000
0.000 0.000 5.935
Ba Ac Mn O
2 4 2 10
Direct
0.000 0.000 0.000
0.500 0.500 0.000
0.176 0.324 0.500
0.324 0.824 0.500
0.676 0.176 0.500
0.824 0.676 0.500
0.000 0.500 0.000
0.500 0.000 0.000
0.000 0.000 0.500
0.133 0.633 0.236
0.133 0.633 0.764
0.367 0.133 0.236
0.367 0.133 0.764
0.500 0.500 0.500
0.633 0.867 0.236
0.633 0.867 0.764
0.867 0.367 0.236
0.867 0.367 0.764
```